Simulated powder X-ray diffraction pattern of Mg2Si for CuKα, from a crystal structure in Alexandria, relaxed with GGA-PBE.
Lines closer than 0.1° are merged.

Crystal structure
```
data_Mg2Si
_chemical_formula_sum 'Mg8 Si4'
_space_group_name_H-M_alt 'P -1'
_space_group_IT_number 2
_cell_length_a 5.3020
_cell_length_b 5.4484
_cell_length_c 8.5590
_cell_angle_alpha 81.91
_cell_angle_beta 79.92
_cell_angle_gamma 82.33
loop_
_space_group_symop_operation_xyz
'x,y,z'
'-x,-y,-z'
loop_
_atom_site_label
_atom_site_type_symbol
_atom_site_fract_x
_atom_site_fract_y
_atom_site_fract_z
Mg1 Mg 0.1954 0.3939 0.1175
Mg2 Mg 0.2204 0.8515 0.2832
Mg3 Mg 0.2646 0.9697 0.8894
Mg4 Mg 0.3020 0.2858 0.4988
Si1 Si 0.1585 0.7810 0.6087
Si2 Si 0.3601 0.4780 0.7931
```

Largest 10 diffraction maxima, sorted by position, 2θ from 10° to 80°:
33.9°, I 76, (0 2 1)
34.3°, I 74, (1 1 -2)
34.6°, I 98, (2 0 0)
35.3°, I 72, (1 1 3)
38.1°, I 58, (0 1 -3)
38.3°, I 31, (1 2 2)
39.5°, I 69, (1 -2 0)
40.5°, I 34, (2 1 -1)
41.8°, I 100, (-1 1 3)
44.8°, I 48, (2 2 1)


Simulated powder X-ray diffraction pattern of CaSiTc for CuKα, from a crystal structure in Alexandria, relaxed with GGA-PBE.
Lines closer than 0.1° are merged.

Crystal structure
```
data_CaSiTc
_chemical_formula_sum 'Ca4 Si4 Tc4'
_space_group_name_H-M_alt 'C m m m'
_space_group_IT_number 65
_space_group_name_Hall '-C 2 2'
_cell_length_a 6.3042
_cell_length_b 7.3917
_cell_length_c 5.1882
_cell_angle_alpha 90.00
_cell_angle_beta 90.00
_cell_angle_gamma 90.00
loop_
_atom_site_label
_atom_site_type_symbol
_atom_site_fract_x
_atom_site_fract_y
_atom_site_fract_z
Ca1 Ca 0.2500 0.2500 0.0000
Si1 Si 0.1902 0.0000 0.5000
Tc1 Tc 0.0000 0.2940 0.5000
```

Largest 10 diffraction maxima, sorted by position, 2θ from 10° to 80°:
17.1°, I 87, (0 0 1)
24.1°, I 49, (0 2 0)
33.3°, I 63, (2 0 1)
34.6°, I 56, (0 0 2)
39.3°, I 19, (1 3 0)
41.5°, I 100, (2 2 1)
42.6°, I 21, (0 2 2)
43.1°, I 29, (1 3 1)
53.3°, I 15, (1 3 2)
66.7°, I 23, (2 2 3)


Simulated powder X-ray diffraction pattern of BP3RhC for CuKα, from a crystal structure in Alexandria, relaxed with GGA-PBE.
Lines closer than 0.1° are merged.

Crystal structure
```
data_BP3RhC
_chemical_formula_sum 'B1 P3 Rh1 C1'
_space_group_name_H-M_alt 'P 1'
_space_group_IT_number 1
_cell_length_a 2.9906
_cell_length_b 5.2045
_cell_length_c 5.5473
_cell_angle_alpha 64.42
_cell_angle_beta 86.44
_cell_angle_gamma 73.47
loop_
_space_group_symop_operation_xyz
'x,y,z'
loop_
_atom_site_label
_atom_site_type_symbol
_atom_site_fract_x
_atom_site_fract_y
_atom_site_fract_z
B1 B 0.0000 0.0000 0.0000
P1 P 0.5311 0.1077 0.5074
P2 P 0.6006 0.7526 0.1668
P3 P 0.7659 0.5841 0.6172
Rh1 Rh 0.4843 0.3890 0.0573
C1 C 0.9788 0.1600 0.6794
```

Largest 10 diffraction maxima, sorted by position, 2θ from 10° to 80°:
17.8°, I 46, (0 0 1)
19.7°, I 51, (0 1 0)
20.1°, I 36, (0 1 1)
31.3°, I 49, (1 0 0)
32.0°, I 18, (0 1 -1)
33.4°, I 34, (1 1 1)
35.1°, I 25, (1 0 -1)
36.0°, I 100, (0 2 1)
40.7°, I 38, (1 2 1)
46.6°, I 20, (1 0 -2)


Simulated powder X-ray diffraction pattern of Cs2TlPt for CuKα, from a crystal structure in Alexandria, relaxed with GGA-PBE.
Lines closer than 0.1° are merged.

Crystal structure
```
data_Cs2TlPt
_chemical_formula_sum 'Cs6 Tl3 Pt3'
_space_group_name_H-M_alt 'R 3 m'
_space_group_IT_number 160
_space_group_name_Hall 'R 3 -2"'
_cell_length_a 4.8457
_cell_length_b 4.8457
_cell_length_c 29.8927
_cell_angle_alpha 90.00
_cell_angle_beta 90.00
_cell_angle_gamma 120.00
loop_
_atom_site_label
_atom_site_type_symbol
_atom_site_fract_x
_atom_site_fract_y
_atom_site_fract_z
Cs1 Cs 0.0000 0.0000 0.0000
Cs2 Cs 0.0000 0.0000 0.1721
Tl1 Tl 0.0000 0.0000 0.7528
Pt1 Pt 0.0000 0.0000 0.4194
```

Largest 10 diffraction maxima, sorted by position, 2θ from 10° to 80°:
24.3°, I 73, (1 0 4)
25.9°, I 100, (0 1 5)
26.8°, I 30, (0 0 9)
29.9°, I 61, (1 0 7)
32.1°, I 27, (0 1 8)
36.1°, I 32, (0 0 12)
37.1°, I 89, (1 1 0)
38.2°, I 56, (1 1 3)
46.4°, I 42, (1 1 9)
52.7°, I 64, (1 1 12)


Simulated powder X-ray diffraction pattern of NaZr2CuS4 for CuKα, from a crystal structure in Alexandria, relaxed with GGA-PBE.
Lines closer than 0.1° are merged.

Crystal structure
```
data_NaZr2CuS4
_chemical_formula_sum 'Na4 Zr8 Cu4 S16'
_space_group_name_H-M_alt 'C m c m'
_space_group_IT_number 63
_space_group_name_Hall '-C 2c 2'
_cell_length_a 3.7175
_cell_length_b 12.3388
_cell_length_c 13.2612
_cell_angle_alpha 90.00
_cell_angle_beta 90.00
_cell_angle_gamma 90.00
loop_
_atom_site_label
_atom_site_type_symbol
_atom_site_fract_x
_atom_site_fract_y
_atom_site_fract_z
Na1 Na 0.0000 0.1221 0.2500
Zr1 Zr 0.0000 0.3714 0.0605
Cu1 Cu 0.0000 0.1515 0.7500
S1 S 0.0000 0.0000 0.0000
S2 S 0.0000 0.2733 0.6145
S3 S 0.0000 0.4527 0.2500
```

Largest 10 diffraction maxima, sorted by position, 2θ from 10° to 80°:
15.8°, I 85, (0 2 1)
28.5°, I 23, (1 1 2)
28.9°, I 19, (0 4 0)
32.3°, I 21, (1 1 3)
33.2°, I 24, (1 3 1)
35.2°, I 100, (1 3 2)
36.9°, I 45, (0 2 5)
38.5°, I 25, (1 3 3)
48.9°, I 60, (1 5 3)
49.0°, I 27, (2 0 0)


Simulated powder X-ray diffraction pattern of Er6Sb2C for CuKα, from a crystal structure in Alexandria, relaxed with GGA-PBE.
Lines closer than 0.1° are merged.

Crystal structure
```
data_Er6Sb2C
_chemical_formula_sum 'Er12 Sb4 C2'
_space_group_name_H-M_alt 'P 1 21/c 1'
_space_group_IT_number 14
_cell_length_a 6.3525
_cell_length_b 7.7646
_cell_length_c 11.2813
_cell_angle_alpha 90.00
_cell_angle_beta 122.24
_cell_angle_gamma 90.00
loop_
_space_group_symop_operation_xyz
'x,y,z'
'-x,-y,-z'
'-x,y+1/2,-z+1/2'
'x,-y+1/2,z+1/2'
loop_
_atom_site_label
_atom_site_type_symbol
_atom_site_fract_x
_atom_site_fract_y
_atom_site_fract_z
Er1 Er 0.1320 0.1636 0.4588
Er2 Er 0.3173 0.7103 0.4553
Er3 Er 0.3595 0.0248 0.2510
Sb1 Sb 0.1808 0.1076 0.7565
C1 C 0.5000 0.0000 0.5000
```

Largest 10 diffraction maxima, sorted by position, 2θ from 10° to 80°:
29.7°, I 100, (0 2 2)
30.4°, I 41, (2 1 -2)
31.6°, I 33, (2 1 -1)
32.2°, I 55, (2 1 -3)
32.6°, I 32, (1 2 1)
33.2°, I 62, (1 2 -3)
35.4°, I 40, (2 1 0)
36.5°, I 49, (2 1 -4)
37.5°, I 46, (1 3 -1)
37.7°, I 39, (0 0 4)


Repeat the sixth record exactly.
Simulated powder X-ray diffraction pattern of Er6Sb2C for CuKα, from a crystal structure in Alexandria, relaxed with GGA-PBE.
Lines closer than 0.1° are merged.

Crystal structure
```
data_Er6Sb2C
_chemical_formula_sum 'Er12 Sb4 C2'
_space_group_name_H-M_alt 'P 1 21/c 1'
_space_group_IT_number 14
_cell_length_a 6.3525
_cell_length_b 7.7646
_cell_length_c 11.2813
_cell_angle_alpha 90.00
_cell_angle_beta 122.24
_cell_angle_gamma 90.00
loop_
_space_group_symop_operation_xyz
'x,y,z'
'-x,-y,-z'
'-x,y+1/2,-z+1/2'
'x,-y+1/2,z+1/2'
loop_
_atom_site_label
_atom_site_type_symbol
_atom_site_fract_x
_atom_site_fract_y
_atom_site_fract_z
Er1 Er 0.1320 0.1636 0.4588
Er2 Er 0.3173 0.7103 0.4553
Er3 Er 0.3595 0.0248 0.2510
Sb1 Sb 0.1808 0.1076 0.7565
C1 C 0.5000 0.0000 0.5000
```

Largest 10 diffraction maxima, sorted by position, 2θ from 10° to 80°:
29.7°, I 100, (0 2 2)
30.4°, I 41, (2 1 -2)
31.6°, I 33, (2 1 -1)
32.2°, I 55, (2 1 -3)
32.6°, I 32, (1 2 1)
33.2°, I 62, (1 2 -3)
35.4°, I 40, (2 1 0)
36.5°, I 49, (2 1 -4)
37.5°, I 46, (1 3 -1)
37.7°, I 39, (0 0 4)


Question: Which formula does entry 5 have?
Answer: NaZr2CuS4


Question: What is the formula in the first record?
Answer: Mg2Si